(1)
Diffraction record for Sn2Te3. The XRD peak list is theoretical, not measured: it uses a cell relaxed with GGA-PBE and λ = 1.5418 Å (Cu Kα).
Intensities are scaled so that the largest is 100.

Peak list (12 most intense, 2θ = 15–90°, in order of rising 2θ)
h k l	2θ/deg	I_rel
0 1 5	28.03	100
0 1 8	33.31	7
1 0 10	37.60	34
1 1 0	42.40	36
1 0 13	44.83	9
2 0 5	51.60	19
0 2 10	57.94	10
1 1 15	62.13	10
1 2 5	68.92	16
1 1 18	69.63	9
2 1 10	74.38	9
3 0 0	77.56	6

Structural model:
abc: 4.2636 4.2636 31.4079
angles: 90.00 90.00 120.00
Atoms (fractional coordinates):
Sn  0.0000  0.0000  0.1028
Sn  0.0000  0.0000  0.8972
Sn  0.3333  0.6667  0.5639
Sn  0.3333  0.6667  0.7694
Sn  0.6667  0.3333  0.2306
Sn  0.6667  0.3333  0.4361
Te  0.0000  0.0000  0.2845
Te  0.0000  0.0000  0.5000
Te  0.0000  0.0000  0.7155
Te  0.3333  0.6667  0.1667
Te  0.3333  0.6667  0.3822
Te  0.3333  0.6667  0.9512
Te  0.6667  0.3333  0.0488
Te  0.6667  0.3333  0.6178
Te  0.6667  0.3333  0.8333

---

(2)
Diffraction record for ThSn3Te6. The XRD peak list is theoretical, not measured: it uses a cell relaxed with GGA-PBE and λ = 1.5418 Å (Cu Kα).
Intensities are scaled so that the largest is 100.

Peak list (12 most intense, 2θ = 15–90°, in order of rising 2θ)
h k l	2θ/deg	I_rel
1 0 2	17.17	25
0 1 2	24.56	31
1 1 2	26.62	40
2 1 1	26.92	100
2 0 -4	28.16	51
3 1 0	29.99	37
2 1 2	30.42	30
1 1 4	36.93	36
4 1 -3	37.87	71
4 1 1	38.04	22
0 2 0	41.03	55
2 2 -4	50.51	22

Structural model:
abc: 12.5332 4.3998 13.1976
angles: 90.00 104.18 90.00
Atoms (fractional coordinates):
Th  0.0411  0.2500  0.1771
Th  0.9589  0.7500  0.8229
Sn  0.1438  0.2500  0.5998
Sn  0.3439  0.7500  0.0151
Sn  0.4608  0.2500  0.3486
Sn  0.5392  0.7500  0.6514
Sn  0.6561  0.2500  0.9849
Sn  0.8562  0.7500  0.4002
Te  0.0980  0.7500  0.3679
Te  0.1150  0.2500  0.9586
Te  0.1896  0.7500  0.7507
Te  0.2358  0.7500  0.2131
Te  0.3792  0.2500  0.5661
Te  0.4933  0.2500  0.1259
Te  0.5067  0.7500  0.8741
Te  0.6208  0.7500  0.4339
Te  0.7642  0.2500  0.7869
Te  0.8104  0.2500  0.2493
Te  0.8850  0.7500  0.0414
Te  0.9020  0.2500  0.6321